Entry 1:
The following is a theoretical PXRD pattern of Al5Cr3. It was derived from a PBE-relaxed structure, using Cu Kα X-rays.
Lines closer than 0.1° are merged.

Cell lengths 7.3571, 7.3571, 7.3603 Å; angles 96.36, 96.36, 141.01 degrees
Atoms (fractional coordinates):
Al (0.0730, 0.7297, 0.8030)
Al (0.2297, 0.4270, 0.6569)
Al (0.2499, 0.2499, 0.9998)
Al (0.2703, 0.9270, 0.1970)
Al (0.4270, 0.2297, 0.6569)
Al (0.5730, 0.7703, 0.3431)
Al (0.7297, 0.0730, 0.8030)
Al (0.7501, 0.7501, 0.0002)
Al (0.7703, 0.5730, 0.3431)
Al (0.9270, 0.2703, 0.1970)
Cr (0.1738, 0.1738, 0.3484)
Cr (0.2502, 0.7498, 0.5000)
Cr (0.3259, 0.6741, 0.0000)
Cr (0.6741, 0.3259, 0.0000)
Cr (0.7498, 0.2502, 0.5000)
Cr (0.8262, 0.8262, 0.6516)

Most intense lines, 2θ from 5° to 70°, by intensity:
2θ (°)	Rel. int.
41.12	100
42.19	93
27.25	24
36.61	23
54.50	22
28.77	21
45.24	19
69.72	19

=====

Entry 2:
The following is a theoretical PXRD pattern of Na2TlZn. It was derived from a PBE-relaxed structure, using Cu Kα X-rays.
Lines closer than 0.1° are merged.

Cell lengths 11.2374, 4.3760, 9.7455 Å; angles 90.00, 114.76, 90.00 degrees
Atoms (fractional coordinates):
Na (0.0000, 0.0000, 0.0000)
Na (0.0228, 0.0000, 0.4458)
Na (0.0789, 0.5000, 0.7643)
Na (0.3365, 0.0000, 0.1405)
Na (0.5000, 0.5000, 0.0000)
Na (0.5228, 0.5000, 0.4458)
Na (0.5789, 0.0000, 0.7643)
Na (0.8365, 0.5000, 0.1405)
Tl (0.1753, 0.5000, 0.2576)
Tl (0.2949, 0.0000, 0.7848)
Tl (0.6753, 0.0000, 0.2576)
Tl (0.7949, 0.5000, 0.7848)
Zn (0.3029, 0.0000, 0.4598)
Zn (0.3098, 0.5000, 0.6055)
Zn (0.8029, 0.5000, 0.4598)
Zn (0.8098, 0.0000, 0.6055)

Most intense lines, 2θ from 5° to 70°, by intensity:
2θ (°)	Rel. int.
17.38	100
34.61	99
16.01	97
22.73	82
33.36	63
41.27	54
20.07	50
25.80	45

=====

Entry 3:
The following is a theoretical PXRD pattern of Ba2ZnPbAu6. It was derived from a PBE-relaxed structure, using Cu Kα X-rays.
Lines closer than 0.1° are merged.

Cell lengths 5.7020, 7.4132, 7.5002 Å; angles 79.29, 67.71, 67.39 degrees
Atoms (fractional coordinates):
Ba (0.2498, 0.2107, 0.2911)
Ba (0.7502, 0.7893, 0.7089)
Zn (0.0000, 0.0000, 0.0000)
Pb (0.5000, 0.5000, 0.5000)
Au (0.2423, 0.6032, 0.9098)
Au (0.2441, 0.2376, 0.7718)
Au (0.2546, 0.7620, 0.2275)
Au (0.7454, 0.2380, 0.7725)
Au (0.7559, 0.7624, 0.2282)
Au (0.7577, 0.3968, 0.0902)

Most intense lines, 2θ from 5° to 70°, by intensity:
2θ (°)	Rel. int.
36.31	100
36.03	86
26.07	81
36.75	79
36.91	40
40.99	39
37.31	37
41.23	35

=====

Entry 4:
The following is a theoretical PXRD pattern of Pm4HoN4. It was derived from a PBE-relaxed structure, using Cu Kα X-rays.
Lines closer than 0.1° are merged.

Cell lengths 6.2290, 6.2290, 6.2290 Å; angles 99.71, 99.71, 131.52 degrees
Atoms (fractional coordinates):
Pm (0.1101, 0.6885, 0.7986)
Pm (0.3115, 0.1101, 0.4215)
Pm (0.6885, 0.8899, 0.5785)
Pm (0.8899, 0.3115, 0.2014)
Ho (0.5000, 0.5000, 0.0000)
N (0.2102, 0.4056, 0.6158)
N (0.4056, 0.7898, 0.1954)
N (0.5944, 0.2102, 0.8046)
N (0.7898, 0.5944, 0.3842)

Most intense lines, 2θ from 5° to 70°, by intensity:
2θ (°)	Rel. int.
30.41	100
35.34	45
50.65	32
60.40	28
35.09	23
63.27	15
60.06	15
50.84	15